Record 1
Computed PXRD pattern of Li2LaAg6 for Cu Kα, 1.54184 Å, from a DFT-relaxed cell (PBE, Alexandria).
Kinematic intensities with the Lorentz-polarization factor, no thermal factor.

Structure:
a = 8.3175 Å, b = 8.3175 Å, c = 8.3175 Å
α = 60.00°, β = 60.00°, γ = 60.00°
Fractional positions:
Li: 0.0000 0.0000 0.0000
Li: 0.0000 0.0000 0.5000
Li: 0.0000 0.5000 0.0000
Li: 0.5000 0.0000 0.0000
La: 0.3750 0.3750 0.3750
La: 0.6250 0.6250 0.6250
Ag: 0.1206 0.1206 0.6294
Ag: 0.1206 0.6294 0.1206
Ag: 0.1206 0.6294 0.6294
Ag: 0.3706 0.3706 0.8794
Ag: 0.3706 0.8794 0.3706
Ag: 0.3706 0.8794 0.8794
Ag: 0.6294 0.1206 0.1206
Ag: 0.6294 0.1206 0.6294
Ag: 0.6294 0.6294 0.1206
Ag: 0.8794 0.3706 0.3706
Ag: 0.8794 0.3706 0.8794
Ag: 0.8794 0.8794 0.3706

Principal peaks in the range 2θ from 10° to 90°, in order of falling intensity:
2θ (°)  I/Imax
30.40  100
43.52  77
71.78  31
54.01  25
79.90  24
63.24  12
25.11  11
13.04  9



Record 2
Computed PXRD pattern of Cs2BaMo for Cu Kα, 1.54184 Å, from a DFT-relaxed cell (PBE, Alexandria).
Kinematic intensities with the Lorentz-polarization factor, no thermal factor.

Structure:
a = 9.6020 Å, b = 9.6020 Å, c = 9.6020 Å
α = 90.00°, β = 90.00°, γ = 90.00°
Fractional positions:
Cs: 0.2500 0.2500 0.2500
Cs: 0.2500 0.2500 0.7500
Cs: 0.2500 0.7500 0.2500
Cs: 0.2500 0.7500 0.7500
Cs: 0.7500 0.2500 0.2500
Cs: 0.7500 0.2500 0.7500
Cs: 0.7500 0.7500 0.2500
Cs: 0.7500 0.7500 0.7500
Ba: 0.0000 0.0000 0.0000
Ba: 0.0000 0.5000 0.5000
Ba: 0.5000 0.0000 0.5000
Ba: 0.5000 0.5000 0.0000
Mo: 0.0000 0.0000 0.5000
Mo: 0.0000 0.5000 0.0000
Mo: 0.5000 0.0000 0.0000
Mo: 0.5000 0.5000 0.5000

Principal peaks in the range 2θ from 10° to 90°, in order of falling intensity:
2θ (°)  I/Imax
26.25  100
46.32  42
73.86  21
37.47  19
61.03  18
54.02  13
85.88  11
67.59  4